The following is a theoretical powder XRD pattern of Zn5Ag3Au. It was derived from a DFT-relaxed cell (PBE, Alexandria), using Cu Kα (λ = 1.5418 Å).
Peak positions follow from Bragg's law for the DFT cell and can differ from measured ones.

Principal peaks in the range 2θ from 10° to 90°, sorted by position:
| 2θ/deg | I_rel | hkl |
| --- | --- | --- |
| 12.88 | 24 | 1 0 0 |
| 38.46 | 22 | 2 1 1 |
| 39.34 | 94 | 3 0 0 |
| 40.39 | 100 | 1 1 2 |
| 57.65 | 28 | 2 2 2 |
| 72.03 | 26 | 4 1 2 |

Structural model:
```
Zn5Ag3Au
1.0
7.934 0.000 0.000
-3.967 6.871 0.000
0.000 0.000 5.404
Zn Ag Au
10 6 2
direct
0.000 0.297 0.250 Zn
0.000 0.703 0.750 Zn
0.297 0.000 0.250 Zn
0.297 0.297 0.750 Zn
0.333 0.667 0.000 Zn
0.333 0.667 0.500 Zn
0.667 0.333 0.000 Zn
0.667 0.333 0.500 Zn
0.703 0.000 0.750 Zn
0.703 0.703 0.250 Zn
0.000 0.376 0.750 Ag
0.000 0.624 0.250 Ag
0.376 0.000 0.750 Ag
0.376 0.376 0.250 Ag
0.624 0.000 0.250 Ag
0.624 0.624 0.750 Ag
0.000 0.000 0.000 Au
0.000 0.000 0.500 Au
```